Li2FeF4: theoretical powder X-ray diffraction pattern (Cu Kα, 1.54184 Å), based on DFT lattice parameters and positions (PBE+U).
Intensities are scaled so that the largest is 100.

Cell: 5.215 6.034 6.048 Å, 64.70 87.41 87.40°
Space group P1 (No. 1)
Inequivalent atoms, fractional coordinates:
Li 0.000 0.000 0.000 (multiplicity 1)
Li 0.080 0.742 0.747 (multiplicity 1)
Li 0.374 0.558 0.562 (multiplicity 1)
Li 0.574 0.832 0.832 (multiplicity 1)
Fe 0.453 0.181 0.183 (multiplicity 1)
Fe 0.891 0.378 0.381 (multiplicity 1)
F 0.007 0.561 0.570 (multiplicity 1)
F 0.361 0.991 0.988 (multiplicity 1)
F 0.395 0.896 0.507 (multiplicity 1)
F 0.397 0.508 0.899 (multiplicity 1)
F 0.488 0.387 0.389 (multiplicity 1)
F 0.857 0.170 0.172 (multiplicity 1)
F 0.891 0.056 0.677 (multiplicity 1)
F 0.894 0.675 0.061 (multiplicity 1)

The 10 most intense peaks (2θ = 10–80°), by angle:
| hkl | 2θ (°) | Rel. int. |
| --- | --- | --- |
| 0 1 0 | 16.2 | 100 |
| 1 1 1 | 23.8 | 29 |
| 1 0 -1 | 24.0 | 53 |
| -1 1 1 | 25.1 | 66 |
| 0 1 -1 | 27.6 | 53 |
| 2 0 0 | 34.4 | 65 |
| 1 2 2 | 38.5 | 30 |
| 0 2 -1 | 42.9 | 32 |
| 0 2 3 | 46.7 | 32 |
| 0 2 -2 | 57.0 | 22 |

KCaCrF6: theoretical powder X-ray diffraction pattern (Cu Kα, 1.54184 Å), based on DFT lattice parameters and positions (PBE+U).
Intensities are scaled so that the largest is 100.

Cell: 5.7591 5.7591 10.7723 Å, 90.00 90.00 120.00°
Space group P-31c (No. 163)
Inequivalent atoms, fractional coordinates:
K 0.0000 0.0000 0.0000 (multiplicity 2)
Ca 0.3333 0.6667 0.2500 (multiplicity 2)
Cr 0.3333 0.6667 0.7500 (multiplicity 2)
F 0.0420 0.3928 0.6494 (multiplicity 12)

The 10 most intense peaks (2θ = 10–80°), by angle:
| hkl | 2θ (°) | Rel. int. |
| --- | --- | --- |
| 0 0 2 | 16.5 | 42 |
| 1 0 1 | 19.6 | 11 |
| 1 0 2 | 24.3 | 100 |
| 1 1 0 | 31.1 | 21 |
| 1 1 2 | 35.3 | 38 |
| 2 0 2 | 39.8 | 18 |
| 1 1 4 | 46.2 | 60 |
| 2 1 2 | 51.4 | 21 |
| 3 0 0 | 55.3 | 22 |
| 4 -2 4 | 74.8 | 10 |